Calculated XRD peak list
Compound: LiFe2F7
Radiation: CuKα
Structure: a structure optimized by DFT (GGA+U)

Peak list (10 most intense, 15° ≤ 2θ ≤ 90°, in order of falling intensity)
| two_theta | Rel. int. |
| --- | --- |
| 16.10 | 100.0 |
| 20.77 | 99.8 |
| 26.67 | 66.0 |
| 18.35 | 52.5 |
| 21.12 | 47.8 |
| 31.10 | 41.2 |
| 25.12 | 39.7 |
| 30.82 | 31.8 |
| 37.42 | 30.0 |
| 31.56 | 27.9 |

abc: 10.1164 7.5701 8.0157
angles: 90.00 90.00 90.00
Positions (direct):
Li 0.1426 0.1304 0.0000
Li 0.3574 0.6304 0.5000
Li 0.6426 0.3696 0.0000
Li 0.8574 0.8696 0.5000
Fe 0.1020 0.5459 0.1710
Fe 0.1193 0.1821 0.4290
Fe 0.3807 0.6821 0.9290
Fe 0.3980 0.0459 0.6710
Fe 0.6020 0.9541 0.1710
Fe 0.6193 0.3179 0.4290
Fe 0.8807 0.8179 0.9290
Fe 0.8980 0.4541 0.6710
F 0.0167 0.3615 0.3128
F 0.0285 0.9767 0.4784
F 0.0446 0.3024 0.6382
F 0.1202 0.3799 0.0041
F 0.1942 0.1105 0.2289
F 0.2128 0.7131 0.0382
F 0.2284 0.5572 0.3397
F 0.2716 0.0572 0.8397
F 0.2872 0.2131 0.5382
F 0.3058 0.6105 0.7289
F 0.3798 0.8799 0.5041
F 0.4554 0.8024 0.1382
F 0.4715 0.4767 0.9784
F 0.4833 0.8615 0.8128
F 0.5167 0.1385 0.3128
F 0.5285 0.5233 0.4784
F 0.5446 0.1976 0.6382
F 0.6202 0.1201 0.0041
F 0.6942 0.3895 0.2289
F 0.7128 0.7869 0.0382
F 0.7284 0.9428 0.3397
F 0.7716 0.4428 0.8397
F 0.7872 0.2869 0.5382
F 0.8058 0.8895 0.7289
F 0.8798 0.6201 0.5041
F 0.9554 0.6976 0.1382
F 0.9715 0.0233 0.9784
F 0.9833 0.6385 0.8128

***

Calculated XRD peak list
Compound: LiFeF3
Radiation: CuKα
Structure: a structure optimized by DFT (GGA+U)

Peak list (10 most intense, 15° ≤ 2θ ≤ 90°, in order of falling intensity)
| two_theta | Rel. int. |
| --- | --- |
| 21.97 | 100.0 |
| 32.97 | 90.2 |
| 24.28 | 77.7 |
| 26.70 | 44.9 |
| 41.11 | 43.6 |
| 56.05 | 39.6 |
| 51.10 | 38.4 |
| 41.57 | 36.0 |
| 40.54 | 35.8 |
| 42.19 | 26.5 |

abc: 5.3290 8.0927 5.0487
angles: 90.00 90.00 90.00
Positions (direct):
Li 0.0000 0.0000 0.0000
Li 0.0000 0.5000 0.0000
Li 0.5000 0.0000 0.5000
Li 0.5000 0.5000 0.5000
Fe 0.0744 0.2500 0.4593
Fe 0.4256 0.7500 0.9593
Fe 0.5744 0.2500 0.0407
Fe 0.9256 0.7500 0.5407
F 0.0749 0.7500 0.1672
F 0.2032 0.5898 0.7037
F 0.2032 0.9102 0.7037
F 0.2968 0.0898 0.2037
F 0.2968 0.4102 0.2037
F 0.4251 0.2500 0.6672
F 0.5749 0.7500 0.3328
F 0.7032 0.5898 0.7963
F 0.7032 0.9102 0.7963
F 0.7968 0.0898 0.2963
F 0.7968 0.4102 0.2963
F 0.9251 0.2500 0.8328

***

Calculated XRD peak list
Compound: LiFeF3
Radiation: CuKα
Structure: a structure optimized by DFT (GGA+U)

Peak list (10 most intense, 15° ≤ 2θ ≤ 90°, in order of falling intensity)
| two_theta | Rel. int. |
| --- | --- |
| 17.21 | 100.0 |
| 51.88 | 64.7 |
| 30.09 | 55.5 |
| 32.68 | 48.9 |
| 24.49 | 47.5 |
| 41.27 | 28.5 |
| 44.99 | 24.0 |
| 61.21 | 14.8 |
| 56.92 | 14.4 |
| 31.49 | 14.2 |

abc: 3.2354 6.3043 6.3043
angles: 109.60 90.00 90.00
Positions (direct):
Li 0.0000 0.0000 0.0000
Li 0.0000 0.4962 0.4962
Fe 0.5000 0.5018 0.9986
Fe 0.5000 0.9986 0.5018
F 0.0000 0.0601 0.3198
F 0.0000 0.3198 0.0601
F 0.0000 0.6878 0.9430
F 0.0000 0.9430 0.6878
F 0.5000 0.3634 0.6389
F 0.5000 0.6389 0.3634

***

Calculated XRD peak list
Compound: LiFeF3
Radiation: CuKα
Structure: a structure optimized by DFT (GGA+U)

Peak list (10 most intense, 15° ≤ 2θ ≤ 90°, in order of falling intensity)
| two_theta | Rel. int. |
| --- | --- |
| 15.23 | 100.0 |
| 30.78 | 54.0 |
| 44.06 | 32.1 |
| 30.57 | 19.8 |
| 43.90 | 16.3 |
| 34.52 | 14.9 |
| 54.41 | 13.4 |
| 54.54 | 12.5 |
| 54.89 | 12.2 |
| 50.41 | 11.3 |

abc: 5.8014 5.8148 23.2695
angles: 89.96 89.96 60.46
Positions (direct):
Li 0.0044 0.1658 0.1273
Li 0.0036 0.8247 0.3765
Li 0.3230 0.4953 0.6237
Li 0.3242 0.1789 0.3765
Li 0.3343 0.1621 0.8726
Li 0.3369 0.5040 0.1268
Li 0.6631 0.4960 0.8732
Li 0.6657 0.8379 0.1274
Li 0.6758 0.8211 0.6235
Li 0.6770 0.5047 0.3763
Li 0.9964 0.1753 0.6235
Li 0.9956 0.8342 0.8727
Fe 0.0000 0.5000 0.0000
Fe 0.0000 0.5000 0.5000
Fe 0.0033 0.5041 0.2396
Fe 0.3317 0.8267 0.7322
Fe 0.3332 0.8336 0.4841
Fe 0.3332 0.8353 0.9853
Fe 0.3350 0.8384 0.2379
Fe 0.6650 0.1616 0.7621
Fe 0.6668 0.1647 0.0147
Fe 0.6668 0.1664 0.5159
Fe 0.6683 0.1733 0.2678
Fe 0.9967 0.4959 0.7604
F 0.0025 0.5021 0.1373
F 0.0027 0.5012 0.3842
F 0.0450 0.7943 0.2880
F 0.0448 0.8200 0.7879
F 0.0460 0.1425 0.5374
F 0.0565 0.1436 0.0393
F 0.2965 0.5502 0.0389
F 0.2966 0.1601 0.2886
F 0.3149 0.5418 0.5374
F 0.3244 0.1225 0.7883
F 0.3277 0.8343 0.6439
F 0.3319 0.8257 0.8963
F 0.3319 0.8375 0.3929
F 0.3331 0.8346 0.1440
F 0.3357 0.4458 0.7123
F 0.3547 0.1946 0.9604
F 0.3624 0.1875 0.4622
F 0.3799 0.4539 0.2115
F 0.6201 0.5461 0.7885
F 0.6376 0.8125 0.5378
F 0.6453 0.8054 0.0396
F 0.6643 0.5542 0.2877
F 0.6669 0.1654 0.8560
F 0.6681 0.1625 0.6071
F 0.6681 0.1743 0.1037
F 0.6723 0.1657 0.3561
F 0.6756 0.8775 0.2117
F 0.6851 0.4582 0.4626
F 0.7034 0.8399 0.7114
F 0.7035 0.4498 0.9611
F 0.9435 0.8564 0.9607
F 0.9540 0.8575 0.4626
F 0.9552 0.1800 0.2121
F 0.9550 0.2057 0.7120
F 0.9973 0.4988 0.6158
F 0.9975 0.4979 0.8627

***

Calculated XRD peak list
Compound: LiFeF3
Radiation: CuKα
Structure: a structure optimized by DFT (GGA+U)

Peak list (10 most intense, 15° ≤ 2θ ≤ 90°, in order of falling intensity)
| two_theta | Rel. int. |
| --- | --- |
| 30.63 | 100.0 |
| 43.57 | 86.4 |
| 54.45 | 72.6 |
| 30.22 | 35.2 |
| 34.26 | 33.7 |
| 26.74 | 27.4 |
| 56.81 | 26.7 |
| 38.37 | 24.3 |
| 63.55 | 21.7 |
| 54.84 | 21.6 |

abc: 12.2987 12.2987 12.2987
angles: 27.46 27.46 27.46
Positions (direct):
Li 0.0672 0.7500 0.4328
Li 0.2500 0.5672 0.9328
Li 0.4328 0.0672 0.7500
Li 0.5672 0.9328 0.2500
Li 0.7500 0.4328 0.0672
Li 0.9328 0.2500 0.5672
Fe 0.0000 0.0000 0.0000
Fe 0.1555 0.1555 0.1555
Fe 0.3445 0.3445 0.3445
Fe 0.5000 0.5000 0.5000
Fe 0.6555 0.6555 0.6555
Fe 0.8445 0.8445 0.8445
F 0.0094 0.2858 0.6331
F 0.0940 0.0940 0.0940
F 0.1331 0.7858 0.5094
F 0.2142 0.4906 0.8669
F 0.2500 0.2500 0.2500
F 0.2858 0.6331 0.0094
F 0.3669 0.9906 0.7142
F 0.4060 0.4060 0.4060
F 0.4906 0.8669 0.2142
F 0.5094 0.1331 0.7858
F 0.5940 0.5940 0.5940
F 0.6331 0.0094 0.2858
F 0.7142 0.3669 0.9906
F 0.7500 0.7500 0.7500
F 0.7858 0.5094 0.1331
F 0.8669 0.2142 0.4906
F 0.9060 0.9060 0.9060
F 0.9906 0.7142 0.3669

***

Calculated XRD peak list
Compound: Li3Fe2F9
Radiation: CuKα
Structure: a structure optimized by DFT (GGA+U)

Peak list (10 most intense, 15° ≤ 2θ ≤ 90°, in order of falling intensity)
| two_theta | Rel. int. |
| --- | --- |
| 19.05 | 100.0 |
| 18.64 | 74.8 |
| 16.60 | 72.7 |
| 16.86 | 55.1 |
| 34.10 | 31.9 |
| 47.25 | 30.6 |
| 22.75 | 30.6 |
| 45.86 | 29.4 |
| 23.41 | 25.8 |
| 25.06 | 25.6 |

abc: 9.5224 7.8168 10.6822
angles: 90.00 90.00 90.00
Positions (direct):
Li 0.0160 0.2500 0.1584
Li 0.0329 0.2500 0.4693
Li 0.1133 0.7500 0.1514
Li 0.3867 0.2500 0.6514
Li 0.4671 0.7500 0.9693
Li 0.4840 0.7500 0.6584
Li 0.5160 0.2500 0.3416
Li 0.5329 0.2500 0.0307
Li 0.6133 0.7500 0.3486
Li 0.8867 0.2500 0.8486
Li 0.9671 0.7500 0.5307
Li 0.9840 0.7500 0.8416
Fe 0.2268 0.0605 0.9319
Fe 0.2268 0.4395 0.9319
Fe 0.2732 0.5605 0.4319
Fe 0.2732 0.9395 0.4319
Fe 0.7268 0.0605 0.5681
Fe 0.7268 0.4395 0.5681
Fe 0.7732 0.5605 0.0681
Fe 0.7732 0.9395 0.0681
F 0.0761 0.2500 0.9756
F 0.0948 0.5525 0.8314
F 0.0948 0.9475 0.8314
F 0.1074 0.0604 0.3911
F 0.1074 0.4396 0.3911
F 0.1625 0.7500 0.5270
F 0.1931 0.5523 0.0841
F 0.1931 0.9477 0.0841
F 0.2320 0.7500 0.3038
F 0.2680 0.2500 0.8038
F 0.3069 0.0523 0.5841
F 0.3069 0.4477 0.5841
F 0.3375 0.2500 0.0270
F 0.3926 0.5604 0.8911
F 0.3926 0.9396 0.8911
F 0.4052 0.0525 0.3314
F 0.4052 0.4475 0.3314
F 0.4239 0.7500 0.4756
F 0.5761 0.2500 0.5244
F 0.5948 0.5525 0.6686
F 0.5948 0.9475 0.6686
F 0.6074 0.0604 0.1089
F 0.6074 0.4396 0.1089
F 0.6625 0.7500 0.9730
F 0.6931 0.5523 0.4159
F 0.6931 0.9477 0.4159
F 0.7320 0.7500 0.1962
F 0.7680 0.2500 0.6962
F 0.8069 0.0523 0.9159
F 0.8069 0.4477 0.9159
F 0.8375 0.2500 0.4730
F 0.8926 0.5604 0.6089
F 0.8926 0.9396 0.6089
F 0.9052 0.0525 0.1686
F 0.9052 0.4475 0.1686
F 0.9239 0.7500 0.0244

***

Calculated XRD peak list
Compound: LiFeF3
Radiation: CuKα
Structure: a structure optimized by DFT (GGA+U)

Peak list (10 most intense, 15° ≤ 2θ ≤ 90°, in order of falling intensity)
| two_theta | Rel. int. |
| --- | --- |
| 21.85 | 100.0 |
| 18.10 | 40.1 |
| 39.47 | 23.9 |
| 36.67 | 18.0 |
| 23.98 | 17.9 |
| 56.32 | 15.5 |
| 36.85 | 14.5 |
| 48.68 | 14.1 |
| 26.96 | 12.9 |
| 54.00 | 11.8 |

abc: 8.8140 8.8140 8.8140
angles: 111.76 111.76 111.76
Positions (direct):
Li 0.2218 0.4145 0.5572
Li 0.4145 0.5572 0.2218
Li 0.4428 0.7782 0.5855
Li 0.5572 0.2218 0.4145
Li 0.5855 0.4428 0.7782
Li 0.7782 0.5855 0.4428
Fe 0.0204 0.5102 0.1953
Fe 0.1953 0.0204 0.5102
Fe 0.4898 0.8047 0.9796
Fe 0.5102 0.1953 0.0204
Fe 0.8047 0.9796 0.4898
Fe 0.9796 0.4898 0.8047
F 0.0406 0.1580 0.4984
F 0.1580 0.4984 0.0406
F 0.1808 0.5866 0.7454
F 0.2118 0.4881 0.3829
F 0.2546 0.8192 0.4134
F 0.3829 0.2118 0.4881
F 0.4134 0.2546 0.8192
F 0.4881 0.3829 0.2118
F 0.4984 0.0406 0.1580
F 0.5016 0.9594 0.8420
F 0.5119 0.6171 0.7882
F 0.5866 0.7454 0.1808
F 0.6171 0.7882 0.5119
F 0.7454 0.1808 0.5866
F 0.7882 0.5119 0.6171
F 0.8192 0.4134 0.2546
F 0.8420 0.5016 0.9594
F 0.9594 0.8420 0.5016

***

Calculated XRD peak list
Compound: LiFe2F7
Radiation: CuKα
Structure: a structure optimized by DFT (GGA+U)

Peak list (10 most intense, 15° ≤ 2θ ≤ 90°, in order of falling intensity)
| two_theta | Rel. int. |
| --- | --- |
| 17.27 | 100.0 |
| 21.67 | 79.6 |
| 17.55 | 78.5 |
| 37.51 | 36.8 |
| 25.73 | 25.4 |
| 45.69 | 23.9 |
| 41.72 | 20.6 |
| 44.24 | 19.1 |
| 38.40 | 17.9 |
| 53.69 | 17.6 |

abc: 5.1605 9.3947 6.0218
angles: 90.00 95.58 90.00
Positions (direct):
Li 0.2011 0.2500 0.3476
Li 0.7989 0.7500 0.6524
Fe 0.1211 0.5980 0.1795
Fe 0.1211 0.9020 0.1795
Fe 0.8789 0.0980 0.8205
Fe 0.8789 0.4020 0.8205
F 0.0112 0.2500 0.6148
F 0.0416 0.2500 0.0357
F 0.2106 0.5052 0.9019
F 0.2106 0.9948 0.9019
F 0.2557 0.0439 0.3697
F 0.2557 0.4561 0.3697
F 0.3940 0.7500 0.1987
F 0.6060 0.2500 0.8013
F 0.7443 0.5439 0.6303
F 0.7443 0.9561 0.6303
F 0.7894 0.0052 0.0981
F 0.7894 0.4948 0.0981
F 0.9584 0.7500 0.9643
F 0.9888 0.7500 0.3852